Entry 1:
Starting from a cell relaxed with PBE, the XRD peak list of SrScGe2Pd5 was simulated for a wavelength of 1.5418 Å.

a b c (Å): 4.3136 4.3136 8.9803
angles (deg): 90.00 90.00 90.00
Fractional coordinates of all 9 atoms:
Sr 0.0000 0.0000 0.0000
Sc 0.0000 0.0000 0.5000
Ge 0.5000 0.5000 0.3655
Ge 0.5000 0.5000 0.6345
Pd 0.0000 0.5000 0.2410
Pd 0.0000 0.5000 0.7590
Pd 0.5000 0.0000 0.2410
Pd 0.5000 0.0000 0.7590
Pd 0.5000 0.5000 0.0000

Largest 10 diffraction maxima, low angle first, 2θ from 5° to 70°:
2θ/deg  intensity
19.77  11
20.59  7
35.58  100
36.54  8
40.17  11
41.89  50
42.30  18
50.47  9
59.43  14
60.73  16

=====

Entry 2:
Starting from a cell relaxed with PBE, the XRD peak list of Li2MgAl2 was simulated for a wavelength of 1.5418 Å.

a b c (Å): 7.7681 4.5858 5.4242
angles (deg): 90.00 117.55 90.00
Fractional coordinates of all 10 atoms:
Li 0.0951 0.0000 0.2832
Li 0.4049 0.5000 0.7168
Li 0.5951 0.5000 0.2832
Li 0.9049 0.0000 0.7168
Mg 0.0000 0.5000 0.5000
Mg 0.5000 0.0000 0.5000
Al 0.2033 0.5000 0.1083
Al 0.2967 0.0000 0.8917
Al 0.7033 0.0000 0.1083
Al 0.7967 0.5000 0.8917

Largest 10 diffraction maxima, low angle first, 2θ from 5° to 70°:
2θ/deg  intensity
23.30  54
23.83  26
33.51  28
38.56  51
38.81  100
39.29  49
39.99  92
56.23  34
57.66  15
69.13  17

=====

Entry 3:
Starting from a cell relaxed with PBE, the XRD peak list of Pr5Dy2Y5 was simulated for a wavelength of 1.5418 Å.

a b c (Å): 8.8345 8.8345 9.7660
angles (deg): 119.07 119.07 38.68
Fractional coordinates of all 12 atoms:
Pr 0.0000 0.0000 0.0000
Pr 0.0870 0.0870 0.4225
Pr 0.2643 0.2643 0.2859
Pr 0.7357 0.7357 0.7141
Pr 0.9130 0.9130 0.5775
Dy 0.1787 0.1787 0.8585
Dy 0.8213 0.8213 0.1415
Y 0.3425 0.3425 0.7089
Y 0.4218 0.4218 0.1139
Y 0.5000 0.5000 0.5000
Y 0.5782 0.5782 0.8861
Y 0.6575 0.6575 0.2911

Largest 10 diffraction maxima, low angle first, 2θ from 5° to 70°:
2θ/deg  intensity
29.40  21
29.78  48
30.56  55
31.35  100
31.53  89
43.19  34
53.73  17
54.81  21
54.95  23
56.99  17